Computed powder X-ray diffraction pattern of Na3Np3TcN8 for Cu Kα X-rays, from DFT lattice parameters and positions (PBE).
Neutral-atom scattering factors, no anomalous dispersion.

Structural model:
```
Na3Np3TcN8
1.0
3.352 1.935 5.681
-3.352 1.935 5.681
0.000 -3.871 5.681
Na Np Tc N
3 3 1 8
Direct
0.000 0.500 0.500
0.500 0.000 0.500
0.500 0.500 0.000
0.000 0.000 0.500
0.000 0.500 0.000
0.500 0.000 0.000
0.500 0.500 0.500
0.230 0.230 0.230
0.233 0.722 0.722
0.278 0.278 0.767
0.278 0.767 0.278
0.722 0.233 0.722
0.722 0.722 0.233
0.767 0.278 0.278
0.770 0.770 0.770
```

Largest 10 diffraction maxima, sorted by position, 2θ = 15–90°:
15.60 deg, intensity 100
31.26 deg, intensity 48
31.50 deg, intensity 20
32.59 deg, intensity 50
37.49 deg, intensity 54
40.83 deg, intensity 20
48.82 deg, intensity 18
53.34 deg, intensity 18
54.77 deg, intensity 18
57.31 deg, intensity 21

---

Computed powder X-ray diffraction pattern of Na4TmNp3N8 for Cu Kα X-rays, from DFT lattice parameters and positions (PBE).
Neutral-atom scattering factors, no anomalous dispersion.

Structural model:
```
Na4TmNp3N8
1.0
3.453 1.994 5.660
-3.453 1.994 5.660
0.000 -3.987 5.660
Na Tm Np N
4 1 3 8
Direct
0.000 0.000 0.000
0.000 0.500 0.500
0.500 0.000 0.500
0.500 0.500 0.000
0.500 0.500 0.500
0.000 0.000 0.500
0.000 0.500 0.000
0.500 0.000 0.000
0.206 0.738 0.738
0.228 0.228 0.228
0.262 0.262 0.794
0.262 0.794 0.262
0.738 0.206 0.738
0.738 0.738 0.206
0.772 0.772 0.772
0.794 0.262 0.262
```

Largest 10 diffraction maxima, sorted by position, 2θ = 15–90°:
15.66 deg, intensity 100
30.35 deg, intensity 53
31.62 deg, intensity 22
31.72 deg, intensity 61
36.76 deg, intensity 62
40.18 deg, intensity 22
48.30 deg, intensity 23
53.04 deg, intensity 22
55.66 deg, intensity 23
63.10 deg, intensity 29